1.
Diffraction record for Hf4Se. The XRD peak list is theoretical, not measured: it uses a DFT-relaxed cell (GGA-PBE, Alexandria) and Cu Kα X-rays.
Peak positions follow from Bragg's law for the DFT cell and can differ from measured ones.

Most intense lines, 2θ = 15–90°, by angle:
- 3.188 Å, 2θ 27.99, I = 16
- 2.947 Å, 2θ 30.33, I = 25
- 2.726 Å, 2θ 32.86, I = 38
- 2.636 Å, 2θ 34.01, I = 69
- 2.532 Å, 2θ 35.45, I = 55
- 2.474 Å, 2θ 36.31, I = 100
- 2.164 Å, 2θ 41.74, I = 58
- 2.001 Å, 2θ 45.32, I = 28
- 1.655 Å, 2θ 55.51, I = 14
- 1.609 Å, 2θ 57.26, I = 33
- 1.328 Å, 2θ 70.99, I = 17
- 1.293 Å, 2θ 73.18, I = 18

Crystal structure
```
Hf4Se
1.0
-4.1679 4.1679 3.0740
4.1679 -4.1679 3.0740
4.1679 4.1679 -3.0740
Hf Se
8 2
Direct
0.0638 0.9349 0.7390 Hf
0.0651 0.8041 0.1289 Hf
0.0748 0.4459 0.7610 Hf
0.1959 0.3248 0.2610 Hf
0.5541 0.3151 0.6289 Hf
0.6752 0.9362 0.8711 Hf
0.6849 0.3138 0.2390 Hf
0.6862 0.9252 0.3711 Hf
0.2500 0.7500 0.5000 Se
0.5000 0.5000 0.0000 Se
```

2.
Diffraction record for Pm3Y3Si4. The XRD peak list is theoretical, not measured: it uses a DFT-relaxed cell (GGA-PBE, Alexandria) and Cu Kα X-rays.
Peak positions follow from Bragg's law for the DFT cell and can differ from measured ones.

Most intense lines, 2θ = 15–90°, by angle:
- 3.397 Å, 2θ 26.23, I = 31
- 3.372 Å, 2θ 26.43, I = 33
- 3.358 Å, 2θ 26.55, I = 22
- 2.848 Å, 2θ 31.41, I = 100
- 2.670 Å, 2θ 33.56, I = 83
- 2.660 Å, 2θ 33.70, I = 60
- 2.400 Å, 2θ 37.47, I = 23
- 2.387 Å, 2θ 37.68, I = 26
- 2.162 Å, 2θ 41.78, I = 29
- 1.686 Å, 2θ 54.40, I = 22
- 1.643 Å, 2θ 55.97, I = 16
- 1.401 Å, 2θ 66.74, I = 18

Crystal structure
```
Pm3Y3Si4
1.0
4.3244 0.0000 0.0000
0.0000 5.3766 5.3288
0.0000 -5.3766 5.3288
Pm Y Si
3 3 4
Direct
0.0000 0.0000 0.0000 Pm
0.0000 0.4968 0.8507 Pm
0.0000 0.8507 0.4968 Pm
0.0000 0.3518 0.3518 Y
0.5000 0.1739 0.6765 Y
0.5000 0.6765 0.1739 Y
0.5000 0.0644 0.2928 Si
0.5000 0.2928 0.0644 Si
0.5000 0.5561 0.5561 Si
0.5000 0.7877 0.7877 Si
```

Q: What is the formula in the second record?
A: Pm3Y3Si4